Entry 1:
The following is a computed X-ray powder pattern of Zr2Co5Ge4. It was derived from a cell relaxed with GGA-PBE, using Cu Ka.
No peak broadening, texture or thermal motion is included.

Top 10 peaks for 2θ = 10–90°, by angle:
| 2theta | I (rel.) | index |
| --- | --- | --- |
| 32.5 | 34 | 0 2 4 |
| 35.4 | 53 | 1 3 1 |
| 39.9 | 100 | 1 3 3 |
| 40.3 | 40 | 2 2 0 |
| 43.4 | 94 | 2 0 4 |
| 48.0 | 37 | 1 3 5 |
| 52.2 | 36 | 0 0 8 |
| 65.6 | 22 | 3 3 3 |
| 68.6 | 20 | 0 6 4 |
| 73.5 | 24 | 2 6 0 |

Crystal structure
Cell: 5.184 8.913 14.013 Å, 90.00 90.00 90.00°
Space group Fmmm (No. 69)
One atom of each set of equivalent atoms:
Zr1 0.000 0.000 0.127 x8
Co1 0.000 0.000 0.500 x4
Co2 0.250 0.250 0.000 x8
Co3 0.250 0.250 0.250 x8
Ge1 0.000 0.154 0.368 x16



Entry 2:
The following is a computed X-ray powder pattern of K2SbPbSe4. It was derived from a cell relaxed with GGA-PBE, using Cu Ka.
No peak broadening, texture or thermal motion is included.

Top 10 peaks for 2θ = 10–90°, by angle:
| 2theta | I (rel.) | index |
| --- | --- | --- |
| 12.1 | 17 | 0 1 1 |
| 12.4 | 29 | 1 0 1 |
| 23.3 | 10 | 1 2 1 |
| 28.5 | 100 | 2 2 0 |
| 40.0 | 12 | 0 4 0 |
| 40.7 | 48 | 2 2 4 |
| 41.5 | 12 | 4 0 0 |
| 49.8 | 12 | 0 4 4 |
| 51.1 | 12 | 4 0 4 |
| 66.8 | 9 | 4 4 4 |

Crystal structure
Cell: 8.700 9.011 12.557 Å, 90.00 90.00 90.00°
Space group Imma (No. 74)
One atom of each set of equivalent atoms:
K1 0.000 0.000 0.000 x4
K2 0.250 0.250 0.250 x4
Sb1 0.250 0.250 0.750 x4
Pb1 0.000 0.000 0.500 x4
Se1 0.000 0.034 0.744 x8
Se2 0.235 0.250 0.520 x8



Entry 3:
The following is a computed X-ray powder pattern of GaSb3Pd6. It was derived from a cell relaxed with GGA-PBE, using Cu Ka.
No peak broadening, texture or thermal motion is included.

Top 10 peaks for 2θ = 10–90°, by angle:
| 2theta | I (rel.) | index |
| --- | --- | --- |
| 31.2 | 26 | 1 1 1 |
| 36.4 | 100 | 1 1 2 |
| 36.6 | 30 | 3 1 -1 |
| 37.3 | 17 | 4 0 -4 |
| 40.3 | 20 | 2 0 3 |
| 42.4 | 20 | 1 0 4 |
| 42.9 | 28 | 5 0 -1 |
| 43.3 | 38 | 3 1 -4 |
| 43.4 | 16 | 4 1 -3 |
| 55.2 | 23 | 0 2 0 |

Crystal structure
Cell: 11.124 3.328 11.218 Å, 90.00 119.45 90.00°
Space group P2_1/m (No. 11)
One atom of each set of equivalent atoms:
Ga1 0.217 0.250 0.073 x2
Sb1 0.044 0.750 0.340 x2
Sb2 0.356 0.250 0.489 x2
Sb3 0.356 0.750 0.782 x2
Pd1 0.026 0.750 0.904 x2
Pd2 0.143 0.250 0.561 x2
Pd3 0.214 0.250 0.850 x2
Pd4 0.224 0.750 0.250 x2
Pd5 0.415 0.750 0.065 x2
Pd6 0.457 0.250 0.304 x2



Entry 4:
The following is a computed X-ray powder pattern of SrSb4Pd4. It was derived from a cell relaxed with GGA-PBE, using Cu Ka.
No peak broadening, texture or thermal motion is included.

Top 10 peaks for 2θ = 10–90°, by angle:
| 2theta | I (rel.) | index |
| --- | --- | --- |
| 13.9 | 44 | 1 1 0 |
| 19.7 | 17 | 2 0 0 |
| 27.6 | 17 | 2 1 1 |
| 31.4 | 100 | 3 1 0 |
| 34.6 | 51 | 1 0 2 |
| 39.7 | 19 | 2 3 1 |
| 40.0 | 30 | 4 0 0 |
| 42.5 | 19 | 3 3 0 |
| 45.0 | 69 | 3 0 2 |
| 61.8 | 25 | 3 4 2 |

Crystal structure
Cell: 9.020 9.020 5.421 Å, 90.00 90.00 90.00°
Space group P4_2/n (No. 86, origin choice 2)
One atom of each set of equivalent atoms:
Sr1 0.250 0.250 0.250 x2
Sb1 0.104 0.878 0.658 x8
Pd1 0.053 0.889 0.161 x8